Entry 1:
CaH12S2N2O10: theoretical powder diffraction line list (copper Kα), based on a GGA-PBE-relaxed structure.
Intensities are scaled so that the largest is 100.

Peak list (8 most intense, 2θ = 15–90°, by angle)
2θ/deg, I (rel.)
15.22, 92
16.39, 30
19.73, 50
25.78, 70
27.93, 100
30.69, 47
40.03, 28
43.83, 28

Cell and atoms:
```
data_CaH12S2N2O10
_chemical_formula_sum 'Ca4 H48 S8 N8 O40'
_cell_length_a 11.781
_cell_length_b 7.661
_cell_length_c 11.793
_cell_angle_alpha 90.00
_cell_angle_beta 99.21
_cell_angle_gamma 90.00
_space_group_name_H-M_alt 'C 1 2/c 1'
_space_group_IT_number 15
loop_
_space_group_symop_operation_xyz
'x,y,z'
'-x,-y,-z'
'-x,y,-z+1/2'
'x,-y,z+1/2'
'x+1/2,y+1/2,z'
'-x+1/2,-y+1/2,-z'
'-x+1/2,y+1/2,-z+1/2'
'x+1/2,-y+1/2,z+1/2'
loop_
_atom_site_label
_atom_site_type_symbol
_atom_site_fract_x
_atom_site_fract_y
_atom_site_fract_z
Ca1 Ca 0.000 0.074 0.250
H1 H 0.047 0.309 0.465
H2 H 0.072 0.371 0.101
H3 H 0.089 0.104 0.989
H4 H 0.136 0.308 0.857
H5 H 0.171 0.485 0.307
H6 H 0.193 0.008 0.943
S1 S 0.185 0.297 0.683
N1 N 0.137 0.392 0.789
O1 O 0.023 0.267 0.086
O2 O 0.119 0.067 0.919
O3 O 0.122 0.131 0.667
O4 O 0.157 0.418 0.584
O5 O 0.189 0.233 0.292
```

=====

Entry 2:
RbCaH6N3: theoretical powder diffraction line list (copper Kα), based on a GGA-PBE-relaxed structure.
Intensities are scaled so that the largest is 100.

Peak list (8 most intense, 2θ = 15–90°, by angle)
2θ/deg, I (rel.)
17.09, 100
23.49, 32
25.68, 49
25.79, 42
28.85, 30
32.27, 52
33.04, 39
34.57, 55

Cell and atoms:
```
data_RbCaH6N3
_chemical_formula_sum 'Rb4 Ca4 H24 N12'
_cell_length_a 7.381
_cell_length_b 12.035
_cell_length_c 6.679
_cell_angle_alpha 90.00
_cell_angle_beta 110.61
_cell_angle_gamma 90.00
_space_group_name_H-M_alt 'C 1 2/c 1'
_space_group_IT_number 15
loop_
_space_group_symop_operation_xyz
'x,y,z'
'-x,-y,-z'
'-x,y,-z+1/2'
'x,-y,z+1/2'
'x+1/2,y+1/2,z'
'-x+1/2,-y+1/2,-z'
'-x+1/2,y+1/2,-z+1/2'
'x+1/2,-y+1/2,z+1/2'
loop_
_atom_site_label
_atom_site_type_symbol
_atom_site_fract_x
_atom_site_fract_y
_atom_site_fract_z
Rb1 Rb 0.000 0.211 0.250
Ca1 Ca 0.000 0.500 0.000
H1 H 0.109 0.294 0.836
H2 H 0.167 0.009 0.613
H3 H 0.169 0.134 0.698
N1 N 0.000 0.347 0.750
N2 N 0.242 0.424 0.335
```

=====

Entry 3:
NaCaH3: theoretical powder diffraction line list (copper Kα), based on a GGA-PBE-relaxed structure.
Intensities are scaled so that the largest is 100.

Peak list (8 most intense, 2θ = 15–90°, by angle)
2θ/deg, I (rel.)
15.21, 25
29.08, 47
30.03, 100
30.30, 25
30.69, 37
31.45, 36
43.71, 18
52.85, 19

Cell and atoms:
```
data_NaCaH3
_chemical_formula_sum 'Na2 Ca2 H6'
_cell_length_a 3.631
_cell_length_b 6.814
_cell_length_c 6.866
_cell_angle_alpha 117.01
_cell_angle_beta 99.71
_cell_angle_gamma 95.21
_space_group_name_H-M_alt 'P -1'
_space_group_IT_number 2
loop_
_space_group_symop_operation_xyz
'x,y,z'
'-x,-y,-z'
loop_
_atom_site_label
_atom_site_type_symbol
_atom_site_fract_x
_atom_site_fract_y
_atom_site_fract_z
Na1 Na 0.013 0.274 0.239
Ca1 Ca 0.371 0.248 0.710
H1 H 0.160 0.653 0.427
H2 H 0.178 0.984 0.315
H3 H 0.483 0.350 0.082
```

=====

Entry 4:
NaCaH3: theoretical powder diffraction line list (copper Kα), based on a GGA-PBE-relaxed structure.
Intensities are scaled so that the largest is 100.

Peak list (8 most intense, 2θ = 15–90°, by angle)
2θ/deg, I (rel.)
21.00, 34
29.27, 100
30.46, 100
42.75, 35
47.30, 22
53.40, 34
54.13, 20
71.32, 12

Cell and atoms:
```
data_NaCaH3
_chemical_formula_sum 'Na6 Ca6 H18'
_cell_length_a 5.8693
_cell_length_b 5.8693
_cell_length_c 15.2591
_cell_angle_alpha 90.00
_cell_angle_beta 90.00
_cell_angle_gamma 120.00
_space_group_name_H-M_alt 'R 3 c'
_space_group_IT_number 161
_space_group_name_Hall 'R 3 -2"c'
loop_
_atom_site_label
_atom_site_type_symbol
_atom_site_fract_x
_atom_site_fract_y
_atom_site_fract_z
Na1 Na 0.0000 0.0000 0.0000
Ca1 Ca 0.0000 0.0000 0.2815
H1 H 0.0130 0.2946 0.3845
```

=====

Entry 5:
NaCaSiHO4: theoretical powder diffraction line list (copper Kα), based on a GGA-PBE-relaxed structure.
Intensities are scaled so that the largest is 100.

Peak list (8 most intense, 2θ = 15–90°, by angle)
2θ/deg, I (rel.)
22.76, 30
30.97, 86
31.11, 100
32.45, 58
32.84, 31
44.64, 24
46.48, 25
51.38, 23

Cell and atoms:
```
data_NaCaSiHO4
_chemical_formula_sum 'Na2 Ca2 Si2 H2 O8'
_cell_length_a 5.462
_cell_length_b 7.114
_cell_length_c 5.529
_cell_angle_alpha 90.00
_cell_angle_beta 116.61
_cell_angle_gamma 90.00
_space_group_name_H-M_alt 'P 1 21 1'
_space_group_IT_number 4
loop_
_space_group_symop_operation_xyz
'x,y,z'
'-x,y+1/2,-z'
loop_
_atom_site_label
_atom_site_type_symbol
_atom_site_fract_x
_atom_site_fract_y
_atom_site_fract_z
Na1 Na 0.138 0.000 0.260
Ca1 Ca 0.496 0.246 0.006
Si1 Si 0.159 0.488 0.374
H1 H 0.464 0.734 0.470
O1 O 0.173 0.995 0.804
O2 O 0.266 0.493 0.703
O3 O 0.292 0.685 0.298
O4 O 0.294 0.308 0.290
```

=====

Entry 6:
CaNi5H: theoretical powder diffraction line list (copper Kα), based on a GGA-PBE-relaxed structure.
Intensities are scaled so that the largest is 100.

Peak list (8 most intense, 2θ = 15–90°, by angle)
2θ/deg, I (rel.)
20.12, 36
20.92, 40
40.89, 24
42.57, 23
42.67, 100
43.90, 48
46.16, 49
48.73, 69

Cell and atoms:
```
data_CaNi5H
_chemical_formula_sum 'Ca2 Ni10 H2'
_cell_length_a 4.845
_cell_length_b 8.828
_cell_length_c 3.933
_cell_angle_alpha 90.00
_cell_angle_beta 90.00
_cell_angle_gamma 90.00
_space_group_name_H-M_alt 'C m m 2'
_space_group_IT_number 35
loop_
_space_group_symop_operation_xyz
'x,y,z'
'-x,-y,z'
'-x,y,z'
'x,-y,z'
'x+1/2,y+1/2,z'
'-x+1/2,-y+1/2,z'
'-x+1/2,y+1/2,z'
'x+1/2,-y+1/2,z'
loop_
_atom_site_label
_atom_site_type_symbol
_atom_site_fract_x
_atom_site_fract_y
_atom_site_fract_z
Ca1 Ca 0.000 0.000 0.000
Ni1 Ni 0.000 0.321 0.004
Ni2 Ni 0.000 0.500 0.497
Ni3 Ni 0.250 0.250 0.501
H1 H 0.000 0.500 0.921
```